[1]
Starting from a DFT-relaxed cell (GGA+U, the Materials Project), the X-ray powder pattern of LiCo3NiO8 was calculated for λ = 1.5418 Å (Cu Kα).
Neutral-atom scattering factors, no anomalous dispersion.

The 10 most intense peaks (10° ≤ 2θ ≤ 90°), sorted by position:
17.7°, I = 100; 36.5°, I = 10; 37.0°, I = 9; 37.3°, I = 9; 43.6°, I = 14; 44.0°, I = 14; 44.3°, I = 14; 56.6°, I = 5; 57.0°, I = 5; 57.2°, I = 5

Cell and atoms:
Cell: 5.6261 5.7015 10.5241 Å, 74.42 74.50 61.07°
Atoms (fractional coordinates):
Li 0.2493 0.2501 0.2497
Li 0.7507 0.7499 0.7503
Co 0.0000 0.0000 0.5000
Co 0.0000 0.5000 0.0000
Co 0.0000 0.5000 0.5000
Co 0.5000 0.0000 0.0000
Co 0.5000 0.0000 0.5000
Co 0.5000 0.5000 0.0000
Ni 0.0000 0.0000 0.0000
Ni 0.5000 0.5000 0.5000
O 0.1228 0.6414 0.5961
O 0.1323 0.1356 0.5957
O 0.1358 0.1396 0.0950
O 0.1482 0.6012 0.1030
O 0.3556 0.8937 0.3989
O 0.3617 0.3601 0.4052
O 0.3665 0.3620 0.9045
O 0.3724 0.8594 0.9044
O 0.6276 0.1406 0.0956
O 0.6335 0.6380 0.0955
O 0.6383 0.6399 0.5948
O 0.6444 0.1063 0.6011
O 0.8518 0.3988 0.8970
O 0.8642 0.8604 0.9050
O 0.8677 0.8644 0.4043
O 0.8772 0.3586 0.4039

---

[2]
Starting from a DFT-relaxed cell (GGA+U, the Materials Project), the X-ray powder pattern of Li3Co2NiO6 was calculated for λ = 1.5418 Å (Cu Kα).
Neutral-atom scattering factors, no anomalous dispersion.

The 10 most intense peaks (10° ≤ 2θ ≤ 90°), sorted by position:
18.5°, I = 100; 35.8°, I = 15; 36.1°, I = 14; 36.4°, I = 13; 37.8°, I = 15; 43.3°, I = 25; 43.9°, I = 24; 44.2°, I = 23; 63.8°, I = 13; 80.6°, I = 9

Cell and atoms:
Cell: 2.9289 5.8905 12.6199 Å, 76.93 89.89 89.31°
Atoms (fractional coordinates):
Li 0.0000 0.0000 0.0000
Li 0.0002 0.3435 0.3302
Li 0.4950 0.8394 0.8313
Li 0.5013 0.1915 0.1587
Li 0.5040 0.5148 0.5004
Li 0.9965 0.6807 0.6689
Co 0.5017 0.6790 0.1665
Co 0.5082 0.3533 0.8376
Co 0.9965 0.1789 0.6627
Co 0.9993 0.8444 0.3291
Ni 0.0041 0.5190 0.9994
Ni 0.4958 0.0092 0.4962
O 0.0014 0.5860 0.8299
O 0.0015 0.7765 0.4797
O 0.0061 0.4578 0.1685
O 0.0100 0.1182 0.8132
O 0.4574 0.9487 0.6621
O 0.4951 0.0616 0.3264
O 0.5009 0.7523 0.0112
O 0.5037 0.6286 0.3251
O 0.5057 0.2668 0.9892
O 0.5386 0.4107 0.6672
O 0.9897 0.2497 0.5091
O 0.9972 0.8959 0.1756

---

[3]
Starting from a DFT-relaxed cell (GGA+U, the Materials Project), the X-ray powder pattern of Li3Co3NiO8 was calculated for λ = 1.5418 Å (Cu Kα).
Neutral-atom scattering factors, no anomalous dispersion.

The 10 most intense peaks (10° ≤ 2θ ≤ 90°), sorted by position:
19.2°, I = 60; 20.6°, I = 100; 26.5°, I = 36; 34.4°, I = 38; 37.3°, I = 52; 38.1°, I = 62; 41.8°, I = 35; 47.5°, I = 70; 63.0°, I = 45; 66.3°, I = 41

Cell and atoms:
Cell: 5.6422 5.6422 9.2458 Å, 90.00 90.00 120.00°
Atoms (fractional coordinates):
Li 0.1694 0.3387 0.0000
Li 0.1694 0.8306 0.0000
Li 0.3387 0.1694 0.5000
Li 0.6613 0.8306 0.0000
Li 0.8306 0.1694 0.5000
Li 0.8306 0.6613 0.5000
Co 0.1672 0.3344 0.7329
Co 0.1672 0.8328 0.7329
Co 0.3344 0.1672 0.2329
Co 0.6656 0.8328 0.7329
Co 0.8328 0.1672 0.2329
Co 0.8328 0.6656 0.2329
Ni 0.3333 0.6667 0.4551
Ni 0.6667 0.3333 0.9551
O 0.0000 0.0000 0.1254
O 0.0000 0.0000 0.6254
O 0.0321 0.5161 0.6146
O 0.1537 0.3073 0.3462
O 0.1537 0.8463 0.3462
O 0.3073 0.1537 0.8462
O 0.3333 0.6667 0.8439
O 0.4839 0.5161 0.6146
O 0.4839 0.9679 0.6146
O 0.5161 0.0321 0.1146
O 0.5161 0.4839 0.1146
O 0.6667 0.3333 0.3439
O 0.6927 0.8463 0.3462
O 0.8463 0.1537 0.8462
O 0.8463 0.6927 0.8462
O 0.9679 0.4839 0.1146

---

[4]
Starting from a DFT-relaxed cell (GGA+U, the Materials Project), the X-ray powder pattern of Li5Co2Ni5O12 was calculated for λ = 1.5418 Å (Cu Kα).
Neutral-atom scattering factors, no anomalous dispersion.

The 10 most intense peaks (10° ≤ 2θ ≤ 90°), sorted by position:
18.7°, I = 45; 20.4°, I = 26; 21.5°, I = 18; 24.2°, I = 32; 38.0°, I = 19; 38.1°, I = 29; 44.1°, I = 100; 44.7°, I = 48; 64.3°, I = 41; 64.8°, I = 27

Cell and atoms:
Cell: 5.0188 5.0188 9.6379 Å, 95.05 95.05 120.73°
Atoms (fractional coordinates):
Li 0.0000 0.0000 0.0000
Li 0.2475 0.2515 0.7556
Li 0.4132 0.0809 0.2458
Li 0.7485 0.7525 0.2444
Li 0.9191 0.5868 0.7542
Co 0.3336 0.6664 0.0000
Co 0.8356 0.1644 0.5000
Ni 0.0809 0.4050 0.2456
Ni 0.1688 0.8312 0.5000
Ni 0.5008 0.4992 0.5000
Ni 0.5950 0.9191 0.7544
Ni 0.6651 0.3349 0.0000
O 0.0352 0.6781 0.1132
O 0.1094 0.1256 0.3825
O 0.1986 0.5346 0.6183
O 0.3219 0.9648 0.8868
O 0.3816 0.3930 0.1162
O 0.4654 0.8014 0.3817
O 0.5492 0.1892 0.6129
O 0.6070 0.6184 0.8838
O 0.6852 0.0458 0.1126
O 0.8108 0.4507 0.3871
O 0.8744 0.8906 0.6175
O 0.9542 0.3148 0.8874

---

[5]
Starting from a DFT-relaxed cell (GGA+U, the Materials Project), the X-ray powder pattern of Li3Co2NiO6 was calculated for λ = 1.5418 Å (Cu Kα).
Neutral-atom scattering factors, no anomalous dispersion.

The 10 most intense peaks (10° ≤ 2θ ≤ 90°), sorted by position:
18.4°, I = 100; 35.2°, I = 17; 35.7°, I = 15; 37.0°, I = 12; 37.3°, I = 11; 42.5°, I = 28; 43.2°, I = 26; 45.1°, I = 22; 62.0°, I = 8; 62.4°, I = 7

Cell and atoms:
Cell: 2.9945 5.9542 6.4131 Å, 104.09 103.42 90.91°
Atoms (fractional coordinates):
Li 0.0000 0.0000 0.0000
Li 0.3286 0.6707 0.6582
Li 0.6656 0.3353 0.3290
Co 0.0036 0.5020 0.9944
Co 0.3246 0.1673 0.6623
Ni 0.6641 0.8342 0.3285
O 0.1492 0.0729 0.3443
O 0.1786 0.5960 0.3129
O 0.4925 0.2545 0.9824
O 0.5131 0.7471 0.0128
O 0.8150 0.9222 0.6441
O 0.8361 0.4152 0.6748

---

[6]
Starting from a DFT-relaxed cell (GGA+U, the Materials Project), the X-ray powder pattern of Li6Co3Ni5O16 was calculated for λ = 1.5418 Å (Cu Kα).
Neutral-atom scattering factors, no anomalous dispersion.

The 10 most intense peaks (10° ≤ 2θ ≤ 90°), sorted by position:
19.2°, I = 100; 19.9°, I = 35; 20.4°, I = 62; 20.5°, I = 33; 20.7°, I = 58; 37.4°, I = 33; 37.6°, I = 38; 38.3°, I = 35; 63.5°, I = 27; 65.1°, I = 26

Cell and atoms:
Cell: 5.5844 5.7213 9.2551 Å, 91.55 90.35 119.07°
Atoms (fractional coordinates):
Li 0.0000 0.0000 0.0000
Li 0.0032 0.4948 0.9960
Li 0.1649 0.8235 0.5011
Li 0.4891 0.4933 0.9970
Li 0.6581 0.8244 0.5012
Li 0.6608 0.3228 0.4970
Co 0.9999 0.4950 0.7314
Co 0.4986 0.4985 0.7344
Co 0.6627 0.3288 0.2360
Ni 0.0004 0.0007 0.7328
Ni 0.1565 0.3151 0.4612
Ni 0.1668 0.8293 0.2320
Ni 0.4978 0.9991 0.9583
Ni 0.6613 0.8288 0.2325
O 0.1458 0.8196 0.8500
O 0.1759 0.3507 0.8474
O 0.3173 0.6279 0.6165
O 0.3183 0.1832 0.6116
O 0.3502 0.7018 0.1079
O 0.3596 0.1631 0.1042
O 0.5023 0.0063 0.3443
O 0.5033 0.4803 0.3493
O 0.6703 0.8181 0.8476
O 0.6706 0.3540 0.8394
O 0.8017 0.1628 0.1023
O 0.8211 0.6452 0.6220
O 0.8231 0.6470 0.1276
O 0.8617 0.1820 0.6123
O 0.9794 0.4825 0.3501
O 0.9822 0.9646 0.3512

---

[7]
Starting from a DFT-relaxed cell (GGA+U, the Materials Project), the X-ray powder pattern of Li6Co5Ni3O16 was calculated for λ = 1.5418 Å (Cu Kα).
Neutral-atom scattering factors, no anomalous dispersion.

The 10 most intense peaks (10° ≤ 2θ ≤ 90°), sorted by position:
19.3°, I = 90; 20.2°, I = 38; 20.4°, I = 73; 20.7°, I = 100; 36.7°, I = 41; 37.4°, I = 49; 38.0°, I = 39; 38.1°, I = 38; 42.0°, I = 33; 47.9°, I = 47

Cell and atoms:
Cell: 5.6433 5.6837 9.1868 Å, 91.37 90.05 119.60°
Atoms (fractional coordinates):
Li 0.0000 0.0000 0.0000
Li 0.9996 0.4988 0.9951
Li 0.1672 0.8288 0.4993
Li 0.4982 0.4984 0.9954
Li 0.6625 0.8284 0.4992
Li 0.6632 0.3244 0.4967
Co 0.0033 0.4968 0.7310
Co 0.1664 0.3291 0.4592
Co 0.4939 0.4964 0.7310
Co 0.5028 0.0050 0.9572
Co 0.6628 0.3243 0.2312
Ni 0.0019 0.0019 0.7331
Ni 0.1707 0.8359 0.2316
Ni 0.6664 0.8362 0.2315
O 0.1582 0.8242 0.8566
O 0.1716 0.3408 0.8386
O 0.3141 0.6277 0.6045
O 0.3219 0.1918 0.5972
O 0.3562 0.7132 0.0935
O 0.3633 0.1620 0.0949
O 0.4979 0.4869 0.3593
O 0.5056 0.0097 0.3397
O 0.6623 0.8239 0.8578
O 0.6714 0.3423 0.8489
O 0.8007 0.1626 0.0949
O 0.8271 0.6536 0.1291
O 0.8298 0.6600 0.6286
O 0.8725 0.1891 0.5985
O 0.9899 0.4858 0.3594
O 0.9935 0.9845 0.3589

---

[8]
Starting from a DFT-relaxed cell (GGA+U, the Materials Project), the X-ray powder pattern of Li2CoNiO4 was calculated for λ = 1.5418 Å (Cu Kα).
Neutral-atom scattering factors, no anomalous dispersion.

The 10 most intense peaks (10° ≤ 2θ ≤ 90°), sorted by position:
24.2°, I = 100; 37.8°, I = 21; 39.0°, I = 15; 43.2°, I = 23; 44.2°, I = 24; 44.3°, I = 24; 51.1°, I = 23; 63.5°, I = 13; 63.6°, I = 12; 64.4°, I = 13

Cell and atoms:
Cell: 4.0851 4.0969 8.3834 Å, 90.00 90.00 90.00°
Atoms (fractional coordinates):
Li 0.0000 0.0000 0.0000
Li 0.0000 0.5000 0.2505
Li 0.5000 0.0000 0.7502
Li 0.5000 0.5000 0.4992
Co 0.0000 0.0000 0.4996
Co 0.5000 0.5000 0.9987
Ni 0.0000 0.5000 0.7484
Ni 0.5000 0.0000 0.2499
O 0.0000 0.0000 0.2759
O 0.0000 0.0000 0.7201
O 0.0000 0.5000 0.5122
O 0.0000 0.5000 0.9860
O 0.5000 0.0000 0.0082
O 0.5000 0.0000 0.4904
O 0.5000 0.5000 0.2160
O 0.5000 0.5000 0.7819

---

[9]
Starting from a DFT-relaxed cell (GGA+U, the Materials Project), the X-ray powder pattern of Li10CoNi9O20 was calculated for λ = 1.5418 Å (Cu Kα).
Neutral-atom scattering factors, no anomalous dispersion.

The 10 most intense peaks (10° ≤ 2θ ≤ 90°), sorted by position:
18.8°, I = 100; 36.2°, I = 15; 36.5°, I = 15; 37.3°, I = 13; 38.2°, I = 11; 43.9°, I = 24; 44.2°, I = 24; 45.4°, I = 23; 48.8°, I = 9; 64.2°, I = 7

Cell and atoms:
Cell: 2.9107 11.0345 11.6117 Å, 113.76 90.45 97.48°
Atoms (fractional coordinates):
Li 0.0000 0.0000 0.0000
Li 0.0078 0.9997 0.5030
Li 0.1933 0.3996 0.9016
Li 0.2045 0.3992 0.4018
Li 0.3854 0.7979 0.3036
Li 0.3984 0.7980 0.8017
Li 0.5884 0.1989 0.2033
Li 0.5995 0.1988 0.7042
Li 0.7950 0.5991 0.1012
Li 0.8104 0.5975 0.6022
Co 0.4217 0.7985 0.5527
Ni 0.1927 0.3994 0.1527
Ni 0.2299 0.3986 0.6521
Ni 0.3685 0.7994 0.0520
Ni 0.5968 0.1998 0.9518
Ni 0.6236 0.1986 0.4521
Ni 0.7916 0.5981 0.3543
Ni 0.7992 0.5995 0.8519
Ni 0.9727 0.9975 0.2527
Ni 0.9989 0.9994 0.7508
O 0.0468 0.1924 0.8313
O 0.0665 0.1890 0.3297
O 0.1475 0.2081 0.0726
O 0.1766 0.2078 0.5738
O 0.2370 0.5914 0.2336
O 0.2673 0.6085 0.9744
O 0.3336 0.5906 0.7293
O 0.3454 0.6066 0.4746
O 0.4245 0.9892 0.1311
O 0.4606 0.0075 0.8722
O 0.5263 0.0064 0.3750
O 0.5378 0.9903 0.6303
O 0.6515 0.4057 0.2731
O 0.6865 0.4083 0.7749
O 0.7337 0.3914 0.0311
O 0.7670 0.3895 0.5305
O 0.8316 0.8068 0.1742
O 0.9088 0.7907 0.9288
O 0.9186 0.7917 0.4385
O 0.9327 0.8055 0.6669